The following is a theoretical powder XRD pattern of Tb7IrS5. It was derived from a cell relaxed with GGA-PBE, using Cu Kα, 1.54184 Å.
Kinematic intensities with the Lorentz-polarization factor, no thermal factor.

Main lines, sorted by position (2θ from 10° to 80°):
d 3.141, 28.4°, intensity 35
d 2.996, 29.8°, intensity 100
d 2.918, 30.6°, intensity 32
d 2.801, 31.9°, intensity 97
d 2.708, 33.1°, intensity 57
d 2.144, 42.2°, intensity 31
d 1.935, 47.0°, intensity 31
d 1.626, 56.6°, intensity 45

a = 6.767 Å, b = 6.767 Å, c = 23.644 Å
α = 90.00°, β = 90.00°, γ = 146.77°
Fractional positions:
1 Tb 0.038 0.962 0.500
2 Tb 0.133 0.867 0.785
3 Tb 0.145 0.855 0.213
4 Tb 0.298 0.702 0.570
5 Tb 0.308 0.692 0.428
6 Tb 0.402 0.598 0.864
7 Tb 0.417 0.583 0.141
8 Tb 0.583 0.417 0.641
9 Tb 0.598 0.402 0.364
10 Tb 0.692 0.308 0.928
11 Tb 0.702 0.298 0.070
12 Tb 0.855 0.145 0.713
13 Tb 0.867 0.133 0.285
14 Tb 0.962 0.038 0.000
15 Ir 0.307 0.693 0.993
16 Ir 0.693 0.307 0.493
17 S 0.047 0.953 0.890
18 S 0.057 0.943 0.108
19 S 0.219 0.781 0.678
20 S 0.230 0.770 0.320
21 S 0.492 0.508 0.751
22 S 0.508 0.492 0.251
23 S 0.770 0.230 0.820
24 S 0.781 0.219 0.178
25 S 0.943 0.057 0.608
26 S 0.953 0.047 0.390